Calculated powder diffraction line list of Ba3Be for Cu Kα, from a cell relaxed with GGA-PBE.
Lines closer than 0.1° are merged.

Structure:
a b c (Å): 4.114 4.114 10.875
angles (deg): 90.00 90.00 90.00
Element x y z (fractional)
Ba  0.000  0.000  0.000
Ba  0.500  0.500  0.331
Ba  0.500  0.500  0.669
Be  0.000  0.000  0.500

The 12 most intense peaks (15 to 90 degrees two-theta), in order of falling intensity:
d [Å], Rel. int.
3.848, 100
2.269, 82
3.281, 79
2.909, 61
3.625, 50
1.814, 32
1.789, 27
1.743, 25
2.057, 22
1.225, 19
1.538, 18
1.923, 17

Calculated powder diffraction line list of Ca4PRh6 for Cu Kα, from a cell relaxed with GGA-PBE.
Lines closer than 0.1° are merged.

Structure:
a b c (Å): 3.751 10.117 10.117
angles (deg): 35.12 90.00 90.00
Element x y z (fractional)
Ca  0.000  0.000  0.000
Ca  0.000  0.456  0.964
Ca  0.000  0.964  0.456
Ca  0.500  0.455  0.455
P  0.500  0.858  0.858
Rh  0.000  0.080  0.635
Rh  0.000  0.579  0.579
Rh  0.000  0.635  0.080
Rh  0.500  0.303  0.303
Rh  0.500  0.308  0.884
Rh  0.500  0.884  0.308

The 12 most intense peaks (15 to 90 degrees two-theta), in order of falling intensity:
d [Å], Rel. int.
2.299, 100
4.823, 85
2.441, 40
1.906, 28
2.461, 28
1.875, 23
3.153, 23
2.411, 21
2.579, 15
2.512, 14
1.149, 13
1.294, 13

Calculated powder diffraction line list of Sm7HoTh3 for Cu Kα, from a cell relaxed with GGA-PBE.
Lines closer than 0.1° are merged.

Structure:
a b c (Å): 7.154 7.154 8.638
angles (deg): 90.00 90.00 120.00
Element x y z (fractional)
Sm  0.000  0.000  0.000
Sm  0.165  0.331  0.652
Sm  0.165  0.835  0.652
Sm  0.502  0.003  0.995
Sm  0.502  0.498  0.995
Sm  0.669  0.835  0.652
Sm  0.997  0.498  0.995
Ho  0.667  0.333  0.649
Th  0.335  0.168  0.324
Th  0.832  0.168  0.324
Th  0.832  0.665  0.324

The 12 most intense peaks (15 to 90 degrees two-theta), in order of falling intensity:
d [Å], Rel. int.
2.916, 100
2.517, 67
2.879, 32
1.519, 29
1.789, 24
1.772, 23
1.525, 15
1.509, 14
1.458, 13
1.160, 12
1.130, 11
1.121, 11

Calculated powder diffraction line list of Nd3Th2 for Cu Kα, from a cell relaxed with GGA-PBE.
Lines closer than 0.1° are merged.

Structure:
a b c (Å): 3.631 3.631 44.628
angles (deg): 90.00 90.00 120.00
Element x y z (fractional)
Nd  0.000  0.000  0.000
Nd  0.000  0.000  0.402
Nd  0.000  0.000  0.598
Nd  0.333  0.667  0.069
Nd  0.333  0.667  0.264
Nd  0.333  0.667  0.667
Nd  0.667  0.333  0.333
Nd  0.667  0.333  0.736
Nd  0.667  0.333  0.931
Th  0.000  0.000  0.198
Th  0.000  0.000  0.802
Th  0.333  0.667  0.468
Th  0.333  0.667  0.865
Th  0.667  0.333  0.135
Th  0.667  0.333  0.532

The 12 most intense peaks (15 to 90 degrees two-theta), in order of falling intensity:
d [Å], Rel. int.
2.966, 100
2.570, 67
1.549, 43
2.975, 33
1.815, 25
1.820, 24
1.552, 14
1.483, 13
1.178, 12
1.148, 11
1.151, 10
1.285, 8

Calculated powder diffraction line list of KMgAgO2 for Cu Kα, from a cell relaxed with GGA-PBE.
Lines closer than 0.1° are merged.

Structure:
a b c (Å): 6.675 6.675 5.458
angles (deg): 90.00 90.00 130.23
Element x y z (fractional)
K  0.250  0.750  0.801
K  0.750  0.250  0.199
Mg  0.250  0.250  0.000
Mg  0.750  0.750  0.000
Ag  0.000  0.000  0.500
Ag  0.500  0.500  0.500
O  0.092  0.908  0.168
O  0.408  0.592  0.168
O  0.592  0.408  0.832
O  0.908  0.092  0.832

The 12 most intense peaks (15 to 90 degrees two-theta), in order of falling intensity:
d [Å], Rel. int.
2.309, 100
2.809, 94
4.054, 93
2.488, 80
3.028, 63
1.927, 50
2.497, 36
1.570, 36
5.458, 31
1.623, 31
1.862, 30
2.648, 26

Calculated powder diffraction line list of CsTi4Te8 for Cu Kα, from a cell relaxed with GGA-PBE.
Lines closer than 0.1° are merged.

Structure:
a b c (Å): 9.803 9.803 13.390
angles (deg): 128.90 128.90 22.72
Element x y z (fractional)
Cs  0.000  0.000  0.000
Ti  0.154  0.154  0.474
Ti  0.333  0.333  0.158
Ti  0.667  0.667  0.842
Ti  0.846  0.846  0.526
Te  0.036  0.036  0.735
Te  0.298  0.298  0.923
Te  0.339  0.339  0.671
Te  0.372  0.372  0.405
Te  0.628  0.628  0.595
Te  0.661  0.661  0.329
Te  0.702  0.702  0.077
Te  0.964  0.964  0.265

The 12 most intense peaks (15 to 90 degrees two-theta), in order of falling intensity:
d [Å], Rel. int.
3.038, 100
2.917, 90
1.974, 53
3.188, 53
3.129, 53
2.928, 42
2.467, 26
1.931, 26
1.666, 25
1.838, 23
1.230, 22
1.758, 20

Calculated powder diffraction line list of KRb3Cl4 for Cu Kα, from a cell relaxed with GGA-PBE.
Lines closer than 0.1° are merged.

Structure:
a b c (Å): 9.358 13.228 4.677
angles (deg): 90.00 90.00 90.00
Element x y z (fractional)
K  0.000  0.000  0.000
K  0.500  0.500  0.000
Rb  0.000  0.500  0.000
Rb  0.250  0.250  0.500
Rb  0.250  0.750  0.500
Rb  0.500  0.000  0.000
Rb  0.750  0.250  0.500
Rb  0.750  0.750  0.500
Cl  0.000  0.246  0.000
Cl  0.000  0.754  0.000
Cl  0.242  0.000  0.500
Cl  0.258  0.500  0.500
Cl  0.500  0.254  0.000
Cl  0.500  0.746  0.000
Cl  0.742  0.500  0.500
Cl  0.758  0.000  0.500

The 12 most intense peaks (15 to 90 degrees two-theta), in order of falling intensity:
d [Å], Rel. int.
3.308, 100
2.339, 73
1.479, 31
1.910, 25
1.350, 23
3.819, 22
1.103, 15
1.995, 12
1.654, 12
1.169, 7
1.518, 5
1.118, 4

Calculated powder diffraction line list of AgAs2Br for Cu Kα, from a cell relaxed with GGA-PBE.
Lines closer than 0.1° are merged.

Structure:
a b c (Å): 3.715 5.068 5.131
angles (deg): 90.00 97.48 90.00
Element x y z (fractional)
Ag  0.000  0.000  0.000
As  0.214  0.500  0.836
As  0.786  0.500  0.164
Br  0.500  0.000  0.500

The 12 most intense peaks (15 to 90 degrees two-theta), in order of falling intensity:
d [Å], Rel. int.
2.698, 100
2.815, 70
2.534, 54
2.273, 54
1.883, 42
5.085, 35
1.731, 31
1.407, 17
1.493, 16
2.044, 15
1.230, 12
1.545, 10